# 1
Theoretical X-ray diffraction stick pattern of CeAl2Ga2 for Cu Kα, from a crystal structure in the Materials Project, relaxed with GGA-PBE.

The 10 most intense peaks (10 to 90 degrees two-theta), sorted by position:
15.77 deg, rel. 35, hkl 0 0 2
30.18 deg, rel. 69, hkl 1 1 0
32.05 deg, rel. 100, hkl 1 0 3
34.22 deg, rel. 88, hkl 1 1 2
43.20 deg, rel. 56, hkl 2 0 0
45.81 deg, rel. 62, hkl 1 0 5
54.79 deg, rel. 43, hkl 2 1 3
62.74 deg, rel. 18, hkl 2 2 0
64.78 deg, rel. 43, hkl 2 1 5
73.45 deg, rel. 19, hkl 3 1 2

Atomic structure:
a = 4.1885 Å, b = 4.1885 Å, c = 11.2402 Å
α = 90.00°, β = 90.00°, γ = 90.00°
Space group I4/mmm (No. 139)
Symmetry-distinct sites (fractional):
Ce 0.0000 0.0000 0.0000 [2 per cell]
Al 0.0000 0.5000 0.2500 [4 per cell]
Ga 0.0000 0.0000 0.3887 [4 per cell]

***

# 2
Theoretical X-ray diffraction stick pattern of Cs2HfI6 for Cu Kα, from a crystal structure in the Materials Project, relaxed with GGA-PBE.

The 10 most intense peaks (10 to 90 degrees two-theta), sorted by position:
12.77 deg, rel. 37, hkl 1 1 1
25.71 deg, rel. 97, hkl 2 2 2
29.77 deg, rel. 100, hkl 4 0 0
38.99 deg, rel. 13, hkl 5 1 1
42.60 deg, rel. 73, hkl 4 4 0
50.43 deg, rel. 42, hkl 6 2 2
52.84 deg, rel. 25, hkl 4 4 4
68.09 deg, rel. 16, hkl 6 6 2
70.11 deg, rel. 31, hkl 8 4 0
77.98 deg, rel. 23, hkl 8 4 4

Atomic structure:
a = 12.0045 Å, b = 12.0045 Å, c = 12.0045 Å
α = 90.00°, β = 90.00°, γ = 90.00°
Space group Fm-3m (No. 225)
Symmetry-distinct sites (fractional):
Cs 0.2500 0.2500 0.2500 [8 per cell]
Hf 0.0000 0.0000 0.0000 [4 per cell]
I 0.0000 0.0000 0.2385 [24 per cell]

***

# 3
Theoretical X-ray diffraction stick pattern of NbCr3Ag2S8 for Cu Kα, from a crystal structure in the Materials Project, relaxed with GGA-PBE.

The 10 most intense peaks (10 to 90 degrees two-theta), sorted by position:
20.93 deg, rel. 35, hkl 0 2 2
27.38 deg, rel. 34, hkl 0 4 0
27.56 deg, rel. 89, hkl 0 2 3
30.32 deg, rel. 44, hkl 1 2 1
33.09 deg, rel. 32, hkl 1 3 0
34.07 deg, rel. 100, hkl 1 3 1
34.90 deg, rel. 36, hkl 0 2 4
42.10 deg, rel. 53, hkl 1 1 4
44.76 deg, rel. 33, hkl 0 6 2
52.89 deg, rel. 35, hkl 2 0 0

Atomic structure:
a = 3.4621 Å, b = 13.0310 Å, c = 11.1896 Å
α = 90.00°, β = 90.00°, γ = 90.00°
Space group Pmc2_1 (No. 26)
Symmetry-distinct sites (fractional):
Nb 0.0000 0.1540 0.0000 [2 per cell]
Cr 0.0000 0.3669 0.5295 [2 per cell]
Cr 0.5000 0.1444 0.6411 [2 per cell]
Cr 0.5000 0.3496 0.1735 [2 per cell]
Ag 0.0000 0.4320 0.8325 [2 per cell]
Ag 0.5000 0.0898 0.3364 [2 per cell]
S 0.0000 0.1038 0.7891 [2 per cell]
S 0.0000 0.1843 0.5031 [2 per cell]
S 0.0000 0.2250 0.2095 [2 per cell]
S 0.0000 0.4637 0.1206 [2 per cell]
S 0.5000 0.0322 0.0669 [2 per cell]
S 0.5000 0.2900 0.9679 [2 per cell]
S 0.5000 0.3224 0.6710 [2 per cell]
S 0.5000 0.4026 0.3863 [2 per cell]

***

# 4
Theoretical X-ray diffraction stick pattern of Li10CuSi2O10 for Cu Kα, from a crystal structure in the Materials Project, relaxed with GGA-PBE.

The 10 most intense peaks (10 to 90 degrees two-theta), sorted by position:
17.45 deg, rel. 36, hkl 1 0 0
19.42 deg, rel. 33, hkl 1 0 2
20.78 deg, rel. 41, hkl 0 1 -2
22.52 deg, rel. 100, hkl 1 1 1
22.79 deg, rel. 27, hkl 1 0 -2
23.30 deg, rel. 32, hkl 1 1 0
29.11 deg, rel. 20, hkl 0 2 1
34.36 deg, rel. 17, hkl 0 2 4
34.79 deg, rel. 35, hkl 2 0 1
36.20 deg, rel. 22, hkl 0 0 6

Atomic structure:
a = 5.1572 Å, b = 6.1345 Å, c = 15.4224 Å
α = 78.57°, β = 80.56°, γ = 89.93°
Space group P1 (No. 1)
Symmetry-distinct sites (fractional):
Li 0.0000 0.0000 0.0000 [1 per cell]
Li 0.0020 0.5751 0.0001 [1 per cell]
Li 0.0237 0.1581 0.2538 [1 per cell]
Li 0.0795 0.3872 0.8050 [1 per cell]
Li 0.1510 0.7047 0.6568 [1 per cell]
Li 0.1547 0.2129 0.6580 [1 per cell]
Li 0.3596 0.0940 0.8751 [1 per cell]
Li 0.3633 0.6028 0.8760 [1 per cell]
Li 0.4354 0.9209 0.7278 [1 per cell]
Li 0.4923 0.1503 0.2791 [1 per cell]
Li 0.5141 0.7332 0.5328 [1 per cell]
Li 0.5146 0.3092 0.5325 [1 per cell]
Li 0.5287 0.7891 0.9959 [1 per cell]
Li 0.6339 0.4376 0.1135 [1 per cell]
Li 0.6380 0.0215 0.1181 [1 per cell]
Li 0.6883 0.3223 0.9186 [1 per cell]
Li 0.8261 0.9872 0.6146 [1 per cell]
Li 0.8771 0.2868 0.4144 [1 per cell]
Li 0.8851 0.8697 0.4201 [1 per cell]
Li 0.9856 0.5177 0.5373 [1 per cell]
Cu 0.6785 0.6220 0.3424 [1 per cell]
Cu 0.8396 0.6875 0.1906 [1 per cell]
Si 0.2528 0.2544 0.0639 [1 per cell]
Si 0.2630 0.0534 0.4692 [1 per cell]
Si 0.6266 0.4334 0.7053 [1 per cell]
Si 0.8880 0.8740 0.8276 [1 per cell]
O 0.0327 0.9261 0.7213 [1 per cell]
O 0.1353 0.8090 0.5253 [1 per cell]
O 0.1358 0.2392 0.5266 [1 per cell]
O 0.1673 0.1021 0.3704 [1 per cell]
O 0.3489 0.2051 0.1626 [1 per cell]
O 0.3784 0.0675 0.0068 [1 per cell]
O 0.3809 0.4984 0.0074 [1 per cell]
O 0.4821 0.3806 0.8117 [1 per cell]
O 0.5339 0.6824 0.6561 [1 per cell]
O 0.5377 0.2320 0.6558 [1 per cell]
O 0.5645 0.8663 0.8412 [1 per cell]
O 0.5855 0.0543 0.4667 [1 per cell]
O 0.7177 0.5569 0.4610 [1 per cell]
O 0.7573 0.9038 0.2644 [1 per cell]
O 0.7592 0.4050 0.2683 [1 per cell]
O 0.7979 0.7513 0.0722 [1 per cell]
O 0.9302 0.2545 0.0662 [1 per cell]
O 0.9502 0.4411 0.6917 [1 per cell]
O 0.9773 0.0755 0.8769 [1 per cell]
O 0.9807 0.6250 0.8769 [1 per cell]

***

# 5
Theoretical X-ray diffraction stick pattern of Al5Ni41B12 for Cu Kα, from a crystal structure in the Materials Project, relaxed with GGA-PBE.

The 10 most intense peaks (10 to 90 degrees two-theta), sorted by position:
34.28 deg, rel. 12, hkl 2 0 8
38.48 deg, rel. 16, hkl 1 1 12
42.32 deg, rel. 17, hkl 1 0 16
45.02 deg, rel. 100, hkl 0 3 6
49.27 deg, rel. 15, hkl 0 2 16
51.69 deg, rel. 31, hkl 3 1 2
52.47 deg, rel. 18, hkl 3 0 12
77.39 deg, rel. 17, hkl 3 3 0
79.30 deg, rel. 12, hkl 0 0 30
82.45 deg, rel. 8, hkl 4 2 8

Atomic structure:
a = 7.3963 Å, b = 7.3963 Å, c = 36.2647 Å
α = 90.00°, β = 90.00°, γ = 120.00°
Space group R-3m (No. 166, hexagonal axes)
Symmetry-distinct sites (fractional):
Al 0.0000 0.0000 0.0000 [3 per cell]
Al 0.0000 0.0000 0.1251 [6 per cell]
Al 0.0000 0.0000 0.3750 [6 per cell]
Ni 0.0000 0.0000 0.1913 [6 per cell]
Ni 0.0000 0.0000 0.3090 [6 per cell]
Ni 0.0000 0.0000 0.5000 [3 per cell]
Ni 0.0000 0.3374 0.5000 [18 per cell]
Ni 0.0000 0.3384 0.0000 [18 per cell]
Ni 0.0195 0.5098 0.4361 [18 per cell]
Ni 0.0196 0.5098 0.9363 [18 per cell]
Ni 0.1067 0.5533 0.7234 [18 per cell]
Ni 0.1098 0.5549 0.2226 [18 per cell]
B 0.0309 0.5154 0.8787 [18 per cell]
B 0.0319 0.5160 0.3790 [18 per cell]

***

# 6
Theoretical X-ray diffraction stick pattern of LaTaO4 for Cu Kα, from a crystal structure in the Materials Project, relaxed with GGA-PBE.

The 10 most intense peaks (10 to 90 degrees two-theta), sorted by position:
23.60 deg, rel. 56, hkl 0 2 1
26.42 deg, rel. 44, hkl 1 2 1
28.45 deg, rel. 100, hkl 2 0 2
31.92 deg, rel. 35, hkl 0 0 4
32.78 deg, rel. 30, hkl 0 2 3
33.56 deg, rel. 45, hkl 2 2 1
45.32 deg, rel. 22, hkl 0 4 0
48.06 deg, rel. 23, hkl 4 0 0
52.66 deg, rel. 31, hkl 2 2 5
54.39 deg, rel. 33, hkl 2 4 2

Atomic structure:
a = 7.5693 Å, b = 8.0035 Å, c = 11.2164 Å
α = 90.00°, β = 90.00°, γ = 90.00°
Space group Pbca (No. 61)
Symmetry-distinct sites (fractional):
La 0.2463 0.1259 0.0252 [8 per cell]
Ta 0.0039 0.6205 0.7513 [8 per cell]
O 0.0004 0.1222 0.2485 [8 per cell]
O 0.0663 0.1258 0.5789 [8 per cell]
O 0.0752 0.6258 0.5803 [8 per cell]
O 0.2464 0.1329 0.8085 [8 per cell]

***

# 7
Theoretical X-ray diffraction stick pattern of DyAlO3 for Cu Kα, from a crystal structure in the Materials Project, relaxed with GGA-PBE.

The 10 most intense peaks (10 to 90 degrees two-theta), sorted by position:
23.87 deg, rel. 100, hkl 0 1 2
33.76 deg, rel. 83, hkl 1 1 0
34.25 deg, rel. 87, hkl 1 0 4
41.77 deg, rel. 46, hkl 2 0 2
42.58 deg, rel. 17, hkl 0 0 6
48.86 deg, rel. 50, hkl 0 2 4
54.75 deg, rel. 25, hkl 1 2 2
55.41 deg, rel. 20, hkl 1 1 6
60.39 deg, rel. 22, hkl 3 0 0
60.71 deg, rel. 36, hkl 2 1 4

Atomic structure:
a = 5.3097 Å, b = 5.3097 Å, c = 12.7382 Å
α = 90.00°, β = 90.00°, γ = 120.00°
Space group R-3c (No. 167, hexagonal axes)
Symmetry-distinct sites (fractional):
Dy 0.0000 0.0000 0.2500 [6 per cell]
Al 0.0000 0.0000 0.0000 [6 per cell]
O 0.0000 0.4244 0.2500 [18 per cell]

***

# 8
Theoretical X-ray diffraction stick pattern of DySnAu for Cu Kα, from a crystal structure in the Materials Project, relaxed with GGA-PBE.

The 10 most intense peaks (10 to 90 degrees two-theta), sorted by position:
24.87 deg, rel. 28, hkl 1 0 1
32.53 deg, rel. 100, hkl 1 0 2
38.20 deg, rel. 95, hkl 1 1 0
42.59 deg, rel. 32, hkl 1 0 3
51.03 deg, rel. 29, hkl 2 0 2
58.53 deg, rel. 13, hkl 2 0 3
65.50 deg, rel. 27, hkl 2 1 2
66.78 deg, rel. 13, hkl 1 0 5
69.06 deg, rel. 17, hkl 3 0 0
72.07 deg, rel. 14, hkl 2 1 3

Atomic structure:
a = 4.7114 Å, b = 4.7114 Å, c = 7.4579 Å
α = 90.00°, β = 90.00°, γ = 120.00°
Space group P6_3mc (No. 186)
Symmetry-distinct sites (fractional):
Dy 0.0000 0.0000 0.0000 [2 per cell]
Sn 0.3333 0.6667 0.2733 [2 per cell]
Au 0.3333 0.6667 0.6717 [2 per cell]